Simulated powder diffraction line list of Ba4MgAg for a wavelength of 1.5418 Å, from DFT lattice parameters and positions (PBE).
Lines closer than 0.1° are merged.

Structural model:
Lattice parameters (Å, degrees): 5.981 5.983 8.485 90.09 90.03 90.01
Space group P1 (No. 1)
Asymmetric unit:
Ba  0.000  0.000  0.000
Ba  0.001  0.001  0.517
Ba  0.500  0.500  0.000
Ba  0.500  0.501  0.517
Mg  0.999  0.502  0.258
Ag  0.500  0.000  0.758

Top 10 peaks for 10° ≤ 2θ ≤ 90°, low angle first:
2θ = 18.14°, d = 4.889 Å, rel. 10
2θ = 20.98°, d = 4.234 Å, rel. 40
2θ = 29.84°, d = 2.994 Å, rel. 100
2θ = 36.76°, d = 2.445 Å, rel. 13
2θ = 42.75°, d = 2.115 Å, rel. 12
2θ = 48.00°, d = 1.895 Å, rel. 9
2θ = 48.10°, d = 1.892 Å, rel. 9
2θ = 52.93°, d = 1.730 Å, rel. 19
2θ = 53.01°, d = 1.727 Å, rel. 19
2θ = 70.37°, d = 1.338 Å, rel. 11